Diffraction record for Li4TbPdO6. The powder diffractogram is simulated, not measured: it uses a crystal structure in OQMD, relaxed with PBE and Cu Kα X-rays.

Crystal structure
a b c (Å): 5.3036 9.2712 5.1583
angles (deg): 90.00 109.31 90.00
Space group C2 (No. 5)
Unique sites:
Li (0.0000, 0.0000, 0.0000) [2 per cell]
Li (0.0000, 0.1532, 0.5000) [2 per cell]
Li (0.0000, 0.3246, 0.0000) [2 per cell]
Li (0.0000, 0.6313, 0.0000) [2 per cell]
Tb (0.0000, 0.8167, 0.5000) [2 per cell]
Pd (0.0000, 0.4858, 0.5000) [2 per cell]
O (0.2260, 0.3311, 0.7503) [4 per cell]
O (0.2314, 0.4912, 0.2596) [4 per cell]
O (0.2423, 0.6372, 0.7490) [4 per cell]

Main lines, in order of rising 2θ (2θ = 10–90°):
two_theta, intensity
18.22, 100
19.15, 23
20.16, 43
22.95, 33
26.55, 21
34.10, 41
34.45, 21
35.88, 30
41.78, 51
42.38, 25
46.21, 17
61.73, 17